Entry 1:
For Th2CI4, a PBE-relaxed structure gives the simulated powder diffractogram in this record (Cu Ka).
No peak broadening, texture or thermal motion is included.

Structure:
a b c (Å): 13.5972 13.5972 3.7795
angles (deg): 90.00 90.00 90.00
Space group P4_2/mnm (No. 136)
Symmetry-distinct sites (fractional):
Th 0.0888 0.0888 0.0000 (multiplicity 4)
C 0.0000 0.0000 0.5000 (multiplicity 2)
I 0.0497 0.2725 0.5000 (multiplicity 8)

Most intense lines, 2θ from 5° to 70°, sorted by position:
9.2 deg, intensity 81, (1 1 0); 14.6 deg, intensity 100, (2 1 0); 18.5 deg, intensity 23, (2 2 0); 27.0 deg, intensity 45, (4 1 0); 27.8 deg, intensity 69, (2 1 1); 30.1 deg, intensity 31, (2 2 1); 33.6 deg, intensity 30, (5 1 0); 36.1 deg, intensity 37, (4 1 1); 36.8 deg, intensity 61, (3 3 1); 39.8 deg, intensity 17, (6 0 0); 60.0 deg, intensity 17, (5 1 2); 66.2 deg, intensity 20, (8 4 1)

Entry 2:
For BaRhC, a PBE-relaxed structure gives the simulated powder diffractogram in this record (Cu Ka).
No peak broadening, texture or thermal motion is included.

Structure:
a b c (Å): 6.0825 6.0825 6.0825
angles (deg): 90.00 90.00 90.00
Space group P2_13 (No. 198)
Symmetry-distinct sites (fractional):
Ba 0.1179 0.1179 0.1179 (multiplicity 4)
Rh 0.1027 0.6027 0.8973 (multiplicity 4)
C 0.1536 0.3464 0.6536 (multiplicity 4)

Most intense lines, 2θ from 5° to 70°, sorted by position:
25.4 deg, intensity 14, (1 1 1); 29.4 deg, intensity 3, (2 0 0); 32.9 deg, intensity 100, (2 0 1); 36.2 deg, intensity 71, (2 1 1); 44.7 deg, intensity 3, (2 2 1); 49.7 deg, intensity 14, (3 1 1); 54.4 deg, intensity 9, (3 2 0); 56.6 deg, intensity 41, (3 2 1); 60.9 deg, intensity 14, (4 0 0); 63.0 deg, intensity 3, (4 0 1); 65.1 deg, intensity 2, (4 1 1); 67.1 deg, intensity 11, (3 3 1)

Entry 3:
For Ac2PmPr, a PBE-relaxed structure gives the simulated powder diffractogram in this record (Cu Ka).
No peak broadening, texture or thermal motion is included.

Structure:
a b c (Å): 3.8675 5.3130 7.7346
angles (deg): 90.00 90.00 90.00
Space group Pmmm (No. 47)
Symmetry-distinct sites (fractional):
Ac 0.0000 0.0000 0.2488 (multiplicity 2)
Pm 0.5000 0.5000 0.0000 (multiplicity 1)
Pr 0.5000 0.5000 0.5000 (multiplicity 1)

Most intense lines, 2θ from 5° to 70°, sorted by position:
16.7 deg, intensity 4, (0 1 0); 23.0 deg, intensity 3, (1 0 0); 28.5 deg, intensity 100, (1 1 0); 32.7 deg, intensity 35, (1 0 2); 33.7 deg, intensity 16, (0 2 0); 37.0 deg, intensity 2, (1 1 2); 47.0 deg, intensity 13, (2 0 0); 47.7 deg, intensity 25, (1 2 2); 55.9 deg, intensity 31, (2 1 2); 57.2 deg, intensity 15, (1 3 0); 59.1 deg, intensity 13, (2 2 0); 68.6 deg, intensity 4, (2 0 4)

Entry 4:
For PmSm5Dy5, a PBE-relaxed structure gives the simulated powder diffractogram in this record (Cu Ka).
No peak broadening, texture or thermal motion is included.

Structure:
a b c (Å): 6.9302 6.9851 8.4380
angles (deg): 75.77 76.69 72.31
Space group P-1 (No. 2)
Symmetry-distinct sites (fractional):
Pm 0.0000 0.0000 0.0000 (multiplicity 1)
Sm 0.0000 0.5000 0.0000 (multiplicity 1)
Sm 0.1559 0.1342 0.3581 (multiplicity 2)
Sm 0.3583 0.7452 0.7258 (multiplicity 2)
Dy 0.2076 0.6422 0.3099 (multiplicity 2)
Dy 0.3246 0.2743 0.6513 (multiplicity 2)
Dy 0.5000 0.0000 0.0000 (multiplicity 1)

Most intense lines, 2θ from 5° to 70°, sorted by position:
31.3 deg, intensity 60, (2 0 -1); 31.4 deg, intensity 49, (0 2 -1); 31.9 deg, intensity 100, (2 2 1); 32.1 deg, intensity 17, (1 2 -1); 32.3 deg, intensity 49, (2 0 2); 33.3 deg, intensity 43, (0 0 3); 33.8 deg, intensity 19, (1 -2 0); 44.1 deg, intensity 15, (2 -2 0); 45.8 deg, intensity 12, (2 2 -2); 47.8 deg, intensity 14, (2 2 4); 55.7 deg, intensity 10, (4 0 1); 56.0 deg, intensity 12, (-2 2 3)